Calculated X-ray powder pattern of Sr2HgRh4Pb3 for Cu Kα (λ = 1.5418 Å), from a GGA-PBE-relaxed structure.
Intensities are scaled so that the largest is 100.

```
Sr2HgRh4Pb3
1.0
4.6189 0.0000 0.0000
0.0000 4.6189 0.0000
0.0000 0.0000 11.2125
Sr Hg Rh Pb
2 1 4 3
direct
0.0000 0.5000 0.2476 Sr
0.5000 0.0000 0.7524 Sr
0.0000 0.0000 0.5000 Hg
0.0000 0.0000 0.0000 Rh
0.0000 0.5000 0.6350 Rh
0.5000 0.0000 0.3650 Rh
0.5000 0.5000 0.0000 Rh
0.0000 0.5000 0.8728 Pb
0.5000 0.0000 0.1272 Pb
0.5000 0.5000 0.5000 Pb
```

Top 10 peaks for 2θ = 10–80°, low angle first:
- 2θ 15.81, I = 30.3
- 2θ 20.80, I = 30.6
- 2θ 30.77, I = 51.2
- 2θ 31.71, I = 100.0
- 2θ 39.00, I = 82.8
- 2θ 42.50, I = 72.7
- 2θ 44.93, I = 25.1
- 2θ 50.48, I = 25.8
- 2θ 56.34, I = 28.5
- 2θ 73.05, I = 29.9